For DyPPt6, the GGA-PBE geometry in Alexandria gives the simulated X-ray diffraction stick pattern in this record (Cu Kα).

```
DyPPt6
1.0
2.7582 1.5925 5.8876
-2.7582 1.5925 5.8876
0.0000 -3.1849 5.8876
Dy P Pt
1 1 6
Direct
0.0000 0.0000 0.0000
0.5000 0.5000 0.5000
0.0673 0.5824 0.5824
0.4176 0.4176 0.9327
0.4176 0.9327 0.4176
0.5824 0.0673 0.5824
0.5824 0.5824 0.0673
0.9327 0.4176 0.4176
```

Peak list (10 most intense, 2θ from 10° to 90°, in order of rising 2θ)
2θ/deg, I (rel.)
27.51, 26
30.36, 40
31.50, 19
38.01, 100
39.06, 50
45.04, 30
45.86, 25
52.77, 29
67.97, 25
76.24, 18



For Dy2SiPPt6, the GGA-PBE geometry in Alexandria gives the simulated X-ray diffraction stick pattern in this record (Cu Kα).

```
Dy2SiPPt6
1.0
5.5348 0.0000 0.0000
0.0000 8.3515 0.0000
0.0000 0.0000 8.1931
Dy Si P Pt
4 2 2 12
Direct
0.2500 0.0072 0.2329
0.2500 0.4928 0.2329
0.7500 0.5072 0.7671
0.7500 0.9928 0.7671
0.2500 0.7500 0.7679
0.7500 0.2500 0.2321
0.2500 0.2500 0.7647
0.7500 0.7500 0.2353
0.0015 0.2500 0.4850
0.0016 0.7500 0.0064
0.2500 0.0061 0.6290
0.2500 0.4939 0.6290
0.4985 0.2500 0.4850
0.4984 0.7500 0.0064
0.5016 0.2500 0.9936
0.5015 0.7500 0.5150
0.7500 0.5061 0.3710
0.7500 0.9939 0.3710
0.9984 0.2500 0.9936
0.9985 0.7500 0.5150
```

Peak list (10 most intense, 2θ from 10° to 90°, in order of rising 2θ)
2θ/deg, I (rel.)
10.80, 25
27.08, 25
30.57, 100
34.69, 29
39.05, 99
39.29, 64
42.81, 28
43.34, 42
49.57, 19
59.91, 37



For DyZn2P2Pt7, the GGA-PBE geometry in Alexandria gives the simulated X-ray diffraction stick pattern in this record (Cu Kα).

```
DyZn2P2Pt7
1.0
2.7747 -2.7741 0.0000
2.7747 2.7741 0.0000
-2.0453 0.0000 13.8954
Dy Zn P Pt
1 2 2 7
Direct
0.0000 0.0000 0.0000
0.1013 0.1013 0.4159
0.8987 0.8987 0.5841
0.4062 0.4062 0.7426
0.5938 0.5938 0.2574
0.0588 0.5590 0.1609
0.3897 0.3897 0.5812
0.4410 0.9412 0.8391
0.5000 0.5000 0.0000
0.5590 0.0588 0.1609
0.6103 0.6103 0.4188
0.9412 0.4410 0.8391
```

Peak list (10 most intense, 2θ from 10° to 90°, in order of rising 2θ)
2θ/deg, I (rel.)
19.16, 35
32.21, 67
34.82, 76
35.50, 78
36.92, 97
37.80, 100
45.71, 42
46.30, 85
46.54, 47
67.56, 39



For Dy5PuP6, the GGA-PBE geometry in Alexandria gives the simulated X-ray diffraction stick pattern in this record (Cu Kα).

```
Dy5PuP6
1.0
3.4659 -6.0015 0.0000
3.4659 6.0015 0.0000
-2.3115 0.0000 6.5355
Dy Pu P
5 1 6
Direct
0.0000 0.0000 0.0000
0.1664 0.8336 0.5000
0.3326 0.6674 0.0000
0.6674 0.3326 0.0000
0.8336 0.1664 0.5000
0.5000 0.5000 0.5000
0.0870 0.4171 0.2512
0.2525 0.2525 0.7480
0.4171 0.0870 0.2512
0.5829 0.9130 0.7488
0.7475 0.7475 0.2520
0.9130 0.5829 0.7488
```

Peak list (10 most intense, 2θ from 10° to 90°, in order of rising 2θ)
2θ/deg, I (rel.)
15.44, 1
27.29, 92
31.62, 100
45.32, 73
53.72, 45
56.31, 26
66.03, 12
72.85, 18
75.06, 33
83.72, 25



For DyPuPS, the GGA-PBE geometry in Alexandria gives the simulated X-ray diffraction stick pattern in this record (Cu Kα).

```
DyPuPS
1.0
1.9946 1.1516 6.4428
-1.9946 1.1516 6.4428
0.0000 -2.3032 6.4428
Dy Pu P S
1 1 1 1
Direct
0.0000 0.0000 0.0000
0.4979 0.4979 0.4979
0.7490 0.7490 0.7490
0.2490 0.2490 0.2490
```

Peak list (10 most intense, 2θ from 10° to 90°, in order of rising 2θ)
2θ/deg, I (rel.)
27.42, 74
27.69, 24
31.84, 100
45.47, 37
45.83, 36
54.08, 25
56.58, 20
75.41, 17
75.93, 17
84.30, 13



For DyPuTeP, the GGA-PBE geometry in Alexandria gives the simulated X-ray diffraction stick pattern in this record (Cu Kα).

```
DyPuTeP
1.0
2.0754 1.1982 7.0454
-2.0754 1.1982 7.0454
0.0000 -2.3965 7.0454
Dy Pu Te P
1 1 1 1
Direct
0.0000 0.0000 0.0000
0.5235 0.5235 0.5235
0.7609 0.7609 0.7609
0.2626 0.2626 0.2626
```

Peak list (10 most intense, 2θ from 10° to 90°, in order of rising 2θ)
2θ/deg, I (rel.)
25.13, 11
26.19, 27
30.07, 100
32.70, 17
42.46, 32
43.61, 39
53.88, 20
59.43, 12
71.73, 17
79.29, 11



For DyUP2Rh5, the GGA-PBE geometry in Alexandria gives the simulated X-ray diffraction stick pattern in this record (Cu Kα).

```
DyUP2Rh5
1.0
3.9692 0.0000 0.0000
0.0000 3.9692 0.0000
0.0000 0.0000 10.8206
Dy U P Rh
1 1 2 5
Direct
0.0000 0.0000 0.0000
0.5000 0.5000 0.5000
0.5000 0.5000 0.2077
0.5000 0.5000 0.7923
0.0000 0.5000 0.3259
0.0000 0.5000 0.6741
0.5000 0.0000 0.3259
0.5000 0.0000 0.6741
0.5000 0.5000 0.0000
```

Peak list (10 most intense, 2θ from 10° to 90°, in order of rising 2θ)
2θ/deg, I (rel.)
22.40, 20
23.88, 42
24.68, 25
33.57, 27
36.05, 100
40.73, 27
45.72, 52
46.63, 45
70.56, 24
78.17, 22



For DyP3Ru5, the GGA-PBE geometry in Alexandria gives the simulated X-ray diffraction stick pattern in this record (Cu Kα).

```
DyP3Ru5
1.0
1.9341 -6.0847 0.0000
1.9341 6.0847 0.0000
0.0000 0.0000 11.9809
Dy P Ru
2 6 10
Direct
0.1640 0.8360 0.7500
0.8360 0.1640 0.2500
0.1318 0.8682 0.2500
0.3869 0.6131 0.0472
0.3869 0.6131 0.4528
0.6131 0.3869 0.5472
0.6131 0.3869 0.9528
0.8682 0.1318 0.7500
0.0000 0.0000 0.0000
0.0000 0.0000 0.5000
0.2065 0.7935 0.0754
0.2065 0.7935 0.4246
0.4438 0.5562 0.6475
0.4438 0.5562 0.8525
0.5562 0.4438 0.1475
0.5562 0.4438 0.3525
0.7935 0.2065 0.5754
0.7935 0.2065 0.9246
```

Peak list (10 most intense, 2θ from 10° to 90°, in order of rising 2θ)
2θ/deg, I (rel.)
26.70, 32
31.97, 40
32.86, 27
33.06, 100
35.39, 43
38.74, 58
43.95, 37
46.98, 43
47.95, 30
56.62, 21



For Dy8PS6, the GGA-PBE geometry in Alexandria gives the simulated X-ray diffraction stick pattern in this record (Cu Kα).

```
Dy8PS6
1.0
9.9302 0.0000 0.0000
-4.9651 8.5998 0.0000
0.0000 0.0000 3.9830
Dy P S
8 1 6
Direct
0.0307 0.3197 0.2408
0.2890 0.9693 0.2408
0.3197 0.2890 0.7592
0.3333 0.6667 0.7533
0.6667 0.3333 0.2467
0.6803 0.7110 0.2408
0.7110 0.0307 0.7592
0.9693 0.6803 0.7592
0.0000 0.0000 0.0000
0.1322 0.6521 0.2537
0.3479 0.4801 0.2537
0.4801 0.1322 0.7463
0.5199 0.8678 0.2537
0.6521 0.5199 0.7463
0.8678 0.3479 0.7463
```

Peak list (10 most intense, 2θ from 10° to 90°, in order of rising 2θ)
2θ/deg, I (rel.)
28.73, 100
30.59, 46
31.20, 99
35.65, 51
42.93, 44
45.55, 20
51.71, 34
54.01, 21
56.24, 34
82.09, 21



For Dy3PS2, the GGA-PBE geometry in Alexandria gives the simulated X-ray diffraction stick pattern in this record (Cu Kα).

```
Dy3PS2
1.0
3.4149 -5.9069 0.0000
3.4149 5.9069 0.0000
-2.2875 0.0000 6.4456
Dy P S
6 2 4
Direct
0.0000 0.5000 0.5000
0.1620 0.3231 0.0010
0.3231 0.1620 0.5010
0.5000 0.0000 0.0000
0.6769 0.8380 0.4990
0.8380 0.6769 0.9990
0.0846 0.9154 0.7500
0.9154 0.0846 0.2500
0.2508 0.7492 0.2500
0.4167 0.5833 0.7500
0.5833 0.4167 0.2500
0.7492 0.2508 0.7500
```

Peak list (10 most intense, 2θ from 10° to 90°, in order of rising 2θ)
2θ/deg, I (rel.)
27.71, 84
32.11, 100
46.03, 60
46.10, 12
54.59, 30
57.23, 25
74.16, 9
76.37, 16
76.47, 11
85.27, 10



For Dy8P3S4, the GGA-PBE geometry in Alexandria gives the simulated X-ray diffraction stick pattern in this record (Cu Kα).

```
Dy8P3S4
1.0
5.5477 -5.5596 0.0000
5.5477 5.5596 0.0000
-5.5466 0.0000 5.5679
Dy P S
8 3 4
Direct
0.2473 0.7527 0.0000
0.2484 0.2484 0.4963
0.2513 0.2513 0.0069
0.2521 0.7479 0.5000
0.7479 0.2521 0.5000
0.7487 0.7487 0.9931
0.7516 0.7516 0.5037
0.7527 0.2473 0.0000
0.0000 0.0000 0.0000
0.0000 0.5000 0.5000
0.5000 0.0000 0.5000
0.0000 0.5000 0.0000
0.5000 0.0000 0.0000
0.5000 0.5000 0.0000
0.5000 0.5000 0.5000
```

Peak list (10 most intense, 2θ from 10° to 90°, in order of rising 2θ)
2θ/deg, I (rel.)
27.80, 100
32.18, 71
32.27, 35
46.19, 77
54.73, 32
54.86, 16
57.43, 27
74.36, 13
76.58, 17
85.55, 18



For Dy3P2S2, the GGA-PBE geometry in Alexandria gives the simulated X-ray diffraction stick pattern in this record (Cu Kα).

```
Dy3P2S2
1.0
7.2328 -1.9864 0.0000
7.2328 1.9864 0.0000
-3.1186 0.0000 6.3086
Dy P S
3 2 2
Direct
0.0000 0.0000 0.0000
0.2796 0.2796 0.2881
0.7204 0.7204 0.7119
0.3606 0.3606 0.9928
0.6394 0.6394 0.0072
0.1274 0.1274 0.4339
0.8726 0.8726 0.5661
```

Peak list (10 most intense, 2θ from 10° to 90°, in order of rising 2θ)
2θ/deg, I (rel.)
13.66, 30
23.64, 33
24.69, 33
25.34, 54
25.76, 100
30.56, 43
37.57, 48
38.51, 41
39.43, 30
44.91, 49



For Dy3PS, the GGA-PBE geometry in Alexandria gives the simulated X-ray diffraction stick pattern in this record (Cu Kα).

```
Dy3PS
1.0
6.4712 0.0000 0.0000
-3.2356 5.6042 0.0000
0.0000 0.0000 3.5722
Dy P S
3 1 1
Direct
0.0034 0.3358 0.0000
0.3324 0.9966 0.0000
0.6642 0.6676 0.0000
0.3333 0.6667 0.5000
0.0000 0.0000 0.5000
```

Peak list (10 most intense, 2θ from 10° to 90°, in order of rising 2θ)
2θ/deg, I (rel.)
24.93, 31
27.57, 86
37.50, 100
48.75, 26
55.51, 22
56.92, 12
59.08, 21
63.08, 22
73.33, 16
83.56, 20